(1)
The following is a theoretical XRD peak list of Y3Tl2. It was derived from a PBE-relaxed structure, using Cu Ka.
No peak broadening, texture or thermal motion is included.

Largest 10 diffraction maxima, in order of falling intensity, 5 to 70 degrees two-theta:
- 2θ 32.1, intensity 100.0
- 2θ 35.2, intensity 40.1
- 2θ 61.2, intensity 31.4
- 2θ 55.1, intensity 19.9
- 2θ 50.6, intensity 14.3
- 2θ 25.0, intensity 12.2
- 2θ 41.0, intensity 11.8
- 2θ 8.0, intensity 11.5
- 2θ 67.1, intensity 11.0
- 2θ 16.1, intensity 9.9

Cell and atoms:
```
Y3Tl2
1.0
-1.8044 1.8044 11.0046
1.8044 -1.8044 11.0046
1.8044 1.8044 -11.0046
Y Tl
3 2
direct
0.0000 0.0000 0.0000
0.1920 0.1920 0.0000
0.8080 0.8080 0.0000
0.4038 0.4038 0.0000
0.5962 0.5962 0.0000
```

(2)
The following is a theoretical XRD peak list of Y3Tl2. It was derived from a PBE-relaxed structure, using Cu Ka.
No peak broadening, texture or thermal motion is included.

Largest 10 diffraction maxima, in order of falling intensity, 5 to 70 degrees two-theta:
- 2θ 31.9, intensity 100.0
- 2θ 34.6, intensity 33.5
- 2θ 20.3, intensity 19.4
- 2θ 55.0, intensity 17.8
- 2θ 41.4, intensity 15.4
- 2θ 64.9, intensity 14.3
- 2θ 15.3, intensity 14.1
- 2θ 40.5, intensity 13.7
- 2θ 24.3, intensity 13.1
- 2θ 45.0, intensity 12.1

Cell and atoms:
```
Y3Tl2
1.0
8.1929 0.0000 0.0000
0.0000 8.1929 0.0000
0.0000 0.0000 4.3663
Y Tl
6 4
direct
0.0000 0.0000 0.0000
0.1716 0.3284 0.5000
0.3284 0.8284 0.5000
0.5000 0.5000 0.0000
0.6716 0.1716 0.5000
0.8284 0.6716 0.5000
0.1307 0.6307 0.0000
0.3693 0.1307 0.0000
0.6307 0.8693 0.0000
0.8693 0.3693 0.0000
```

(3)
The following is a theoretical XRD peak list of YTl. It was derived from a PBE-relaxed structure, using Cu Ka.
No peak broadening, texture or thermal motion is included.

Largest 10 diffraction maxima, in order of falling intensity, 5 to 70 degrees two-theta:
- 2θ 28.7, intensity 100.0
- 2θ 33.0, intensity 85.0
- 2θ 39.3, intensity 43.7
- 2θ 47.9, intensity 35.0
- 2θ 62.4, intensity 31.7
- 2θ 37.6, intensity 23.2
- 2θ 18.5, intensity 17.7
- 2θ 55.5, intensity 16.3
- 2θ 59.4, intensity 15.7
- 2θ 56.8, intensity 15.3

Cell and atoms:
```
YTl
1.0
3.7994 0.0000 0.0000
-1.8997 3.2903 0.0000
0.0000 0.0000 9.5786
Y Tl
2 2
direct
0.0000 0.0000 0.0000
0.0000 0.0000 0.5000
0.3333 0.6667 0.2500
0.6667 0.3333 0.7500
```

(4)
The following is a theoretical XRD peak list of Y5Tl6. It was derived from a PBE-relaxed structure, using Cu Ka.
No peak broadening, texture or thermal motion is included.

Largest 10 diffraction maxima, in order of falling intensity, 5 to 70 degrees two-theta:
- 2θ 33.7, intensity 100.0
- 2θ 23.6, intensity 36.1
- 2θ 60.5, intensity 27.9
- 2θ 33.3, intensity 25.5
- 2θ 33.9, intensity 24.8
- 2θ 59.8, intensity 18.8
- 2θ 48.3, intensity 18.2
- 2θ 60.1, intensity 9.3
- 2θ 48.5, intensity 9.0
- 2θ 41.3, intensity 5.9

Cell and atoms:
```
Y5Tl6
1.0
-2.6457 3.7552 8.0606
2.6457 -3.7552 8.0606
2.6457 3.7552 -8.0606
Y Tl
5 6
direct
0.0000 0.0000 0.0000
0.1669 0.6669 0.5000
0.3403 0.3403 0.0000
0.6597 0.6597 0.0000
0.8331 0.3331 0.5000
0.0901 0.8369 0.2532
0.2598 0.5000 0.7598
0.4162 0.1631 0.2532
0.5838 0.8369 0.7468
0.7402 0.5000 0.2402
0.9099 0.1631 0.7468
```

(5)
The following is a theoretical XRD peak list of Y3TlZn. It was derived from a PBE-relaxed structure, using Cu Ka.
No peak broadening, texture or thermal motion is included.

Largest 10 diffraction maxima, in order of falling intensity, 5 to 70 degrees two-theta:
- 2θ 32.9, intensity 100.0
- 2θ 34.9, intensity 47.0
- 2θ 61.3, intensity 32.7
- 2θ 50.1, intensity 16.6
- 2θ 57.5, intensity 14.9
- 2θ 8.6, intensity 9.9
- 2θ 19.3, intensity 8.8
- 2θ 65.6, intensity 8.7
- 2θ 21.6, intensity 8.6
- 2θ 69.0, intensity 8.5

Cell and atoms:
```
Y3TlZn
1.0
2.5744 -10.2397 0.0000
2.5744 10.2397 0.0000
0.0000 0.0000 5.1477
Y Tl Zn
6 2 2
direct
0.0627 0.9373 0.7500
0.2494 0.7506 0.7500
0.4355 0.5645 0.7500
0.5645 0.4355 0.2500
0.7506 0.2494 0.2500
0.9373 0.0627 0.2500
0.3414 0.6586 0.2500
0.6586 0.3414 0.7500
0.1549 0.8451 0.2500
0.8451 0.1549 0.7500
```

(6)
The following is a theoretical XRD peak list of Y6TlZn2. It was derived from a PBE-relaxed structure, using Cu Ka.
No peak broadening, texture or thermal motion is included.

Largest 10 diffraction maxima, in order of falling intensity, 5 to 70 degrees two-theta:
- 2θ 31.0, intensity 100.0
- 2θ 33.7, intensity 51.8
- 2θ 34.0, intensity 35.2
- 2θ 36.5, intensity 29.3
- 2θ 33.0, intensity 28.8
- 2θ 57.5, intensity 21.7
- 2θ 28.7, intensity 20.8
- 2θ 34.7, intensity 16.7
- 2θ 45.6, intensity 15.4
- 2θ 60.0, intensity 14.2

Cell and atoms:
```
Y6TlZn2
1.0
-4.8991 4.9267 5.1698
4.8991 -4.9267 5.1698
4.8991 4.9267 -5.1698
Y Tl Zn
12 2 4
direct
0.0258 0.8172 0.2086
0.2393 0.5343 0.2950
0.2393 0.9443 0.7050
0.2764 0.3161 0.5926
0.2764 0.6839 0.9603
0.3914 0.1828 0.2086
0.6086 0.8172 0.7914
0.7236 0.3161 0.0397
0.7236 0.6839 0.4074
0.7607 0.0557 0.2950
0.7607 0.4657 0.7050
0.9742 0.1828 0.7914
0.0000 0.5000 0.5000
0.5000 0.0000 0.5000
0.0000 0.1374 0.1374
0.0000 0.8626 0.8626
0.3771 0.3771 0.0000
0.6229 0.6229 0.0000
```

(7)
The following is a theoretical XRD peak list of Y6TlZn5. It was derived from a PBE-relaxed structure, using Cu Ka.
No peak broadening, texture or thermal motion is included.

Largest 10 diffraction maxima, in order of falling intensity, 5 to 70 degrees two-theta:
- 2θ 35.0, intensity 100.0
- 2θ 35.2, intensity 19.9
- 2θ 63.0, intensity 13.9
- 2θ 62.7, intensity 13.8
- 2θ 50.5, intensity 13.8
- 2θ 62.8, intensity 13.7
- 2θ 50.2, intensity 6.9
- 2θ 22.0, intensity 3.8
- 2θ 27.5, intensity 2.9
- 2θ 16.8, intensity 2.7

Cell and atoms:
```
Y6TlZn5
1.0
2.5521 -7.6879 0.0000
2.5521 7.6879 0.0000
0.0000 0.0000 7.2710
Y Tl Zn
6 1 5
direct
0.0000 0.0000 0.2396
0.0000 0.0000 0.7604
0.3293 0.6707 0.2437
0.3293 0.6707 0.7563
0.6707 0.3293 0.2437
0.6707 0.3293 0.7563
0.5000 0.5000 0.5000
0.1664 0.8336 0.0000
0.1703 0.8297 0.5000
0.5000 0.5000 0.0000
0.8297 0.1703 0.5000
0.8336 0.1664 0.0000
```

(8)
The following is a theoretical XRD peak list of Y2Zr2Tl3. It was derived from a PBE-relaxed structure, using Cu Ka.
No peak broadening, texture or thermal motion is included.

Largest 10 diffraction maxima, in order of falling intensity, 5 to 70 degrees two-theta:
- 2θ 33.8, intensity 100.0
- 2θ 33.4, intensity 95.7
- 2θ 35.7, intensity 80.7
- 2θ 58.8, intensity 38.0
- 2θ 63.2, intensity 30.4
- 2θ 62.4, intensity 24.9
- 2θ 45.1, intensity 22.4
- 2θ 21.2, intensity 16.3
- 2θ 22.4, intensity 14.9
- 2θ 51.9, intensity 14.9

Cell and atoms:
```
Y2Zr2Tl3
1.0
12.7169 -2.0094 0.0000
12.7169 2.0094 0.0000
-0.4852 0.0000 3.4897
Y Zr Tl
2 2 3
direct
0.0755 0.0755 0.0762
0.9245 0.9245 0.9238
0.2158 0.2158 0.2160
0.7842 0.7842 0.7840
0.3478 0.3478 0.3474
0.5000 0.5000 0.5000
0.6522 0.6522 0.6526
```

(9)
The following is a theoretical XRD peak list of TlZn. It was derived from a PBE-relaxed structure, using Cu Ka.
No peak broadening, texture or thermal motion is included.

Largest 10 diffraction maxima, in order of falling intensity, 5 to 70 degrees two-theta:
- 2θ 37.3, intensity 100.0
- 2θ 33.8, intensity 94.6
- 2θ 34.7, intensity 88.4
- 2θ 27.9, intensity 57.2
- 2θ 50.6, intensity 52.8
- 2θ 28.9, intensity 52.1
- 2θ 32.9, intensity 43.6
- 2θ 64.6, intensity 29.2
- 2θ 63.4, intensity 28.9
- 2θ 62.8, intensity 28.2

Cell and atoms:
```
TlZn
1.0
3.3354 0.0000 0.0000
0.0000 3.4795 0.0000
0.0000 0.0000 8.1727
Tl Zn
2 2
direct
0.2500 0.2500 0.1655
0.7500 0.7500 0.8345
0.2500 0.2500 0.5728
0.7500 0.7500 0.4272
```

(10)
The following is a theoretical XRD peak list of Tl5Zn3. It was derived from a PBE-relaxed structure, using Cu Ka.
No peak broadening, texture or thermal motion is included.

Largest 10 diffraction maxima, in order of falling intensity, 5 to 70 degrees two-theta:
- 2θ 33.1, intensity 100.0
- 2θ 34.5, intensity 24.0
- 2θ 60.9, intensity 17.1
- 2θ 39.6, intensity 16.8
- 2θ 53.5, intensity 13.9
- 2θ 67.8, intensity 12.8
- 2θ 41.0, intensity 11.2
- 2θ 26.0, intensity 10.0
- 2θ 54.6, intensity 9.6
- 2θ 69.6, intensity 9.3

Cell and atoms:
```
Tl5Zn3
1.0
4.4019 -5.1993 0.0000
4.4019 5.1993 0.0000
0.0000 0.0000 4.5525
Tl Zn
5 3
direct
0.0000 0.0000 0.0000
0.0000 0.5000 0.0000
0.2883 0.2883 0.5000
0.5000 0.0000 0.0000
0.7117 0.7117 0.5000
0.2360 0.7640 0.5000
0.5000 0.5000 0.0000
0.7640 0.2360 0.5000
```

(11)
The following is a theoretical XRD peak list of Tl3Zn2. It was derived from a PBE-relaxed structure, using Cu Ka.
No peak broadening, texture or thermal motion is included.

Largest 10 diffraction maxima, in order of falling intensity, 5 to 70 degrees two-theta:
- 2θ 31.9, intensity 100.0
- 2θ 38.9, intensity 54.4
- 2θ 51.9, intensity 26.5
- 2θ 66.1, intensity 20.1
- 2θ 38.0, intensity 16.9
- 2θ 22.5, intensity 15.5
- 2θ 62.2, intensity 14.9
- 2θ 31.0, intensity 13.8
- 2θ 66.7, intensity 11.2
- 2θ 60.3, intensity 10.9

Cell and atoms:
```
Tl3Zn2
1.0
1.7627 1.0177 11.8450
-1.7627 1.0177 11.8450
0.0000 -2.0354 11.8450
Tl Zn
3 2
direct
0.0000 0.0000 0.0000
0.2067 0.2067 0.2067
0.7933 0.7933 0.7933
0.3969 0.3969 0.3969
0.6031 0.6031 0.6031
```

(12)
The following is a theoretical XRD peak list of TlZn. It was derived from a PBE-relaxed structure, using Cu Ka.
No peak broadening, texture or thermal motion is included.

Largest 10 diffraction maxima, in order of falling intensity, 5 to 70 degrees two-theta:
- 2θ 35.7, intensity 100.0
- 2θ 28.8, intensity 57.8
- 2θ 29.5, intensity 37.0
- 2θ 34.0, intensity 35.9
- 2θ 60.7, intensity 24.8
- 2θ 45.6, intensity 23.0
- 2θ 44.8, intensity 20.5
- 2θ 61.9, intensity 20.2
- 2θ 57.4, intensity 19.7
- 2θ 65.8, intensity 8.9

Cell and atoms:
```
TlZn
1.0
-4.2878 4.2878 2.6399
4.2878 -4.2878 2.6399
4.2878 4.2878 -2.6399
Tl Zn
4 4
direct
0.0000 0.2939 0.2939
0.0000 0.7061 0.7061
0.2939 0.0000 0.2939
0.7061 0.0000 0.7061
0.3483 0.3483 0.6965
0.3483 0.6517 0.0000
0.6517 0.3483 0.0000
0.6517 0.6517 0.3035
```